[1]
Theoretical PXRD pattern of CdAuBr2 for Cu Kα, from DFT lattice parameters and positions (PBE).
Kinematic intensities with the Lorentz-polarization factor, no thermal factor.

Cell and atoms:
```
data_CdAuBr2
_symmetry_space_group_name_H-M 'A m m 2'
_symmetry_Int_Tables_number 38
_symmetry_space_group_name_Hall 'A 2 -2'
_cell_length_a 3.987
_cell_length_b 5.374
_cell_length_c 9.885
_cell_angle_alpha 90.00
_cell_angle_beta 90.00
_cell_angle_gamma 90.00
loop_
_atom_site_label
_atom_site_type_symbol
_atom_site_fract_x
_atom_site_fract_y
_atom_site_fract_z
_atom_site_occupancy
Cd1 Cd 0.000 0.000 0.000 1
Au1 Au 0.500 0.000 0.198 1
Br1 Br 0.000 0.000 0.411 1
Br2 Br 0.500 0.000 0.725 1
```

Peak list (12 most intense, 2θ = 10–90°, in order of rising 2θ)
(0 1 1), d = 4.722 Å, I = 43; (1 0 2), d = 3.103 Å, I = 100; (0 2 0), d = 2.687 Å, I = 39; (0 0 4), d = 2.471 Å, I = 17; (1 1 3), d = 2.296 Å, I = 34; (1 2 2), d = 2.031 Å, I = 60; (2 0 0), d = 1.994 Å, I = 16; (0 1 5), d = 1.855 Å, I = 13; (0 2 4), d = 1.819 Å, I = 14; (2 2 0), d = 1.601 Å, I = 16; (0 4 0), d = 1.344 Å, I = 15; (1 4 2), d = 1.233 Å, I = 12

[2]
Theoretical PXRD pattern of Ce2AuBr for Cu Kα, from DFT lattice parameters and positions (PBE).
Kinematic intensities with the Lorentz-polarization factor, no thermal factor.

Cell and atoms:
```
data_Ce2AuBr
_symmetry_space_group_name_H-M 'P n m a'
_symmetry_Int_Tables_number 62
_symmetry_space_group_name_Hall '-P 2ac 2n'
_cell_length_a 20.763
_cell_length_b 4.238
_cell_length_c 5.039
_cell_angle_alpha 90.00
_cell_angle_beta 90.00
_cell_angle_gamma 90.00
loop_
_atom_site_label
_atom_site_type_symbol
_atom_site_fract_x
_atom_site_fract_y
_atom_site_fract_z
_atom_site_occupancy
Ce1 Ce 0.004 0.250 0.179 1
Ce2 Ce 0.151 0.750 0.224 1
Au1 Au 0.095 0.250 0.661 1
Br1 Br 0.236 0.750 0.725 1
```

Peak list (12 most intense, 2θ = 10–90°, in order of rising 2θ)
(4 0 1), d = 3.616 Å, I = 13; (4 1 0), d = 3.283 Å, I = 29; (5 0 1), d = 3.205 Å, I = 13; (4 1 1), d = 2.751 Å, I = 100; (0 0 2), d = 2.519 Å, I = 15; (8 0 1), d = 2.307 Å, I = 23; (1 1 2), d = 2.154 Å, I = 14; (0 2 0), d = 2.119 Å, I = 20; (8 2 1), d = 1.561 Å, I = 14; (11 1 2), d = 1.423 Å, I = 11; (4 3 1), d = 1.316 Å, I = 10; (16 1 1), d = 1.205 Å, I = 10

[3]
Theoretical PXRD pattern of Ce4AuBr6 for Cu Kα, from DFT lattice parameters and positions (PBE).
Kinematic intensities with the Lorentz-polarization factor, no thermal factor.

Cell and atoms:
```
data_Ce4AuBr6
_symmetry_space_group_name_H-M 'P 42/n m c'
_symmetry_Int_Tables_number 137
_cell_length_a 10.012
_cell_length_b 10.012
_cell_length_c 7.381
_cell_angle_alpha 90.00
_cell_angle_beta 90.00
_cell_angle_gamma 90.00
loop_
_symmetry_equiv_pos_as_xyz
'x,y,z'
'-x,-y,-z'
'-y+1/2,x,z+1/2'
'y+1/2,-x,-z+1/2'
'-x+1/2,-y+1/2,z'
'x+1/2,y+1/2,-z'
'y,-x+1/2,z+1/2'
'-y,x+1/2,-z+1/2'
'x+1/2,-y,-z'
'-x+1/2,y,z'
'-y,-x,-z+1/2'
'y,x,z+1/2'
'-x,y+1/2,-z'
'x,-y+1/2,z'
'y+1/2,x+1/2,-z+1/2'
'-y+1/2,-x+1/2,z+1/2'
loop_
_atom_site_label
_atom_site_type_symbol
_atom_site_fract_x
_atom_site_fract_y
_atom_site_fract_z
_atom_site_occupancy
Ce1 Ce 0.001 0.750 0.066 1
Au1 Au 0.250 0.750 0.250 1
Br1 Br 0.039 0.539 0.750 1
Br2 Br 0.250 0.250 0.188 1
```

Peak list (12 most intense, 2θ = 10–90°, in order of rising 2θ)
(1 0 1), d = 5.941 Å, I = 44; (2 0 1), d = 4.143 Å, I = 100; (3 0 1), d = 3.041 Å, I = 49; (2 1 2), d = 2.848 Å, I = 31; (2 2 2), d = 2.555 Å, I = 98; (4 0 0), d = 2.503 Å, I = 62; (2 1 3), d = 2.156 Å, I = 38; (4 2 1), d = 2.142 Å, I = 34; (4 3 1), d = 1.933 Å, I = 18; (4 4 0), d = 1.770 Å, I = 19; (5 2 3), d = 1.484 Å, I = 23; (6 2 2), d = 1.455 Å, I = 22

[4]
Theoretical PXRD pattern of CeTlAuBr6 for Cu Kα, from DFT lattice parameters and positions (PBE).
Kinematic intensities with the Lorentz-polarization factor, no thermal factor.

Cell and atoms:
```
data_CeTlAuBr6
_symmetry_space_group_name_H-M 'P -3 1 c'
_symmetry_Int_Tables_number 163
_symmetry_space_group_name_Hall '-P 3 2c'
_cell_length_a 7.1928
_cell_length_b 7.1928
_cell_length_c 15.0225
_cell_angle_alpha 90.00
_cell_angle_beta 90.00
_cell_angle_gamma 120.00
loop_
_atom_site_label
_atom_site_type_symbol
_atom_site_fract_x
_atom_site_fract_y
_atom_site_fract_z
_atom_site_occupancy
Ce1 Ce 0.3333 0.6667 0.2500 1
Tl1 Tl 0.0000 0.0000 0.0000 1
Au1 Au 0.3333 0.6667 0.7500 1
Br1 Br 0.0040 0.3606 0.1390 1
```

Peak list (12 most intense, 2θ = 10–90°, in order of rising 2θ)
(0 0 2), d = 7.511 Å, I = 17; (1 0 2), d = 4.795 Å, I = 100; (1 1 0), d = 3.596 Å, I = 15; (1 1 2), d = 3.244 Å, I = 50; (2 0 2), d = 2.877 Å, I = 25; (1 1 4), d = 2.597 Å, I = 92; (2 1 2), d = 2.247 Å, I = 30; (3 0 0), d = 2.076 Å, I = 39; (2 -1 6), d = 2.055 Å, I = 15; (4 -2 4), d = 1.622 Å, I = 21; (3 0 8), d = 1.393 Å, I = 17; (4 1 4), d = 1.278 Å, I = 19

[5]
Theoretical PXRD pattern of Au2Br3Cl6 for Cu Kα, from DFT lattice parameters and positions (PBE).
Kinematic intensities with the Lorentz-polarization factor, no thermal factor.

Cell and atoms:
```
data_Au2Br3Cl6
_symmetry_space_group_name_H-M 'P -1'
_symmetry_Int_Tables_number 2
_symmetry_space_group_name_Hall '-P 1'
_cell_length_a 7.206
_cell_length_b 7.476
_cell_length_c 15.564
_cell_angle_alpha 76.59
_cell_angle_beta 89.19
_cell_angle_gamma 67.57
loop_
_atom_site_label
_atom_site_type_symbol
_atom_site_fract_x
_atom_site_fract_y
_atom_site_fract_z
_atom_site_occupancy
Au1 Au 0.151 0.148 0.000 1
Au2 Au 0.176 0.654 0.496 1
Br1 Br 0.011 0.392 0.753 1
Br2 Br 0.285 0.929 0.252 1
Br3 Br 0.333 0.714 0.755 1
Cl1 Cl 0.075 0.585 0.102 1
Cl2 Cl 0.084 0.376 0.595 1
Cl3 Cl 0.194 0.956 0.399 1
Cl4 Cl 0.277 0.784 0.888 1
Cl5 Cl 0.389 0.899 0.105 1
Cl6 Cl 0.432 0.629 0.598 1
```

Peak list (12 most intense, 2θ = 10–90°, in order of rising 2θ)
(0 0 2), d = 7.544 Å, I = 56; (0 1 1), d = 6.770 Å, I = 74; (1 0 0), d = 6.638 Å, I = 58; (0 1 -1), d = 5.632 Å, I = 37; (-1 1 1), d = 4.071 Å, I = 100; (0 0 4), d = 3.772 Å, I = 58; (1 2 2), d = 3.576 Å, I = 83; (2 1 -1), d = 3.450 Å, I = 53; (1 2 -2), d = 3.010 Å, I = 37; (1 -1 3), d = 2.869 Å, I = 41; (-1 1 5), d = 2.674 Å, I = 65; (2 1 -5), d = 2.259 Å, I = 37

[6]
Theoretical PXRD pattern of AuBrCl4 for Cu Kα, from DFT lattice parameters and positions (PBE).
Kinematic intensities with the Lorentz-polarization factor, no thermal factor.

Cell and atoms:
```
data_AuBrCl4
_symmetry_space_group_name_H-M 'P 1'
_symmetry_Int_Tables_number 1
_symmetry_space_group_name_Hall 'P 1'
_cell_length_a 4.692
_cell_length_b 7.547
_cell_length_c 7.603
_cell_angle_alpha 117.82
_cell_angle_beta 103.40
_cell_angle_gamma 96.30
loop_
_atom_site_label
_atom_site_type_symbol
_atom_site_fract_x
_atom_site_fract_y
_atom_site_fract_z
_atom_site_occupancy
Au1 Au 0.000 0.000 0.000 1
Br1 Br 0.558 0.086 0.115 1
Cl1 Cl 0.223 0.345 0.686 1
Cl2 Cl 0.263 0.674 0.359 1
Cl3 Cl 0.678 0.432 0.788 1
Cl4 Cl 0.719 0.764 0.461 1
```

Peak list (12 most intense, 2θ = 10–90°, in order of rising 2θ)
(0 1 -1), d = 6.464 Å, I = 100; (0 0 1), d = 6.366 Å, I = 44; (1 0 -1), d = 4.341 Å, I = 10; (0 2 -1), d = 3.751 Å, I = 66; (0 1 -2), d = 3.694 Å, I = 99; (0 2 -2), d = 3.232 Å, I = 19; (0 0 2), d = 3.182 Å, I = 14; (1 1 1), d = 2.456 Å, I = 18; (2 -1 0), d = 2.272 Å, I = 11; (1 0 -3), d = 2.210 Å, I = 10; (0 3 -3), d = 2.155 Å, I = 20; (0 4 -2), d = 1.875 Å, I = 11